No. 1
The following is a theoretical powder diffraction line list of LiThSi2Os. It was derived from a cell relaxed with GGA-PBE, using λ = 1.5418 Å (Cu Kα).
Neutral-atom scattering factors, no anomalous dispersion.

Structural model:
a = 4.183 Å, b = 4.183 Å, c = 9.985 Å
α = 90.00°, β = 90.00°, γ = 90.00°
Space group I-4m2 (No. 119)
One atom of each set of equivalent atoms:
Li  0.000  0.000  0.000 (multiplicity 2)
Th  0.000  0.500  0.750 (multiplicity 2)
Si  0.000  0.500  0.124 (multiplicity 4)
Os  0.000  0.000  0.500 (multiplicity 2)

The 8 most intense peaks (5 to 70 degrees two-theta), by angle:
h k l  two_theta  I (rel.)
1 0 1  23.1  100
1 0 3  34.4  58
1 1 2  35.3  90
2 0 0  43.3  33
2 1 1  49.6  27
1 0 5  50.7  19
2 1 3  56.4  29
2 0 4  57.5  17

=====

No. 2
The following is a theoretical powder diffraction line list of Ho3Cd3C. It was derived from a cell relaxed with GGA-PBE, using λ = 1.5418 Å (Cu Kα).
Neutral-atom scattering factors, no anomalous dispersion.

Structural model:
a = 13.490 Å, b = 13.490 Å, c = 13.490 Å
α = 90.00°, β = 90.00°, γ = 90.00°
Space group Fd-3m (No. 227, origin choice 2)
One atom of each set of equivalent atoms:
Ho  0.064  0.375  0.375 (multiplicity 48)
Cd  0.000  0.000  0.500 (multiplicity 16)
Cd  0.042  0.042  0.708 (multiplicity 32)
C  0.000  0.000  0.000 (multiplicity 16)

The 8 most intense peaks (5 to 70 degrees two-theta), by angle:
h k l  two_theta  I (rel.)
3 3 1  28.8  15
4 2 2  32.5  39
3 3 3  34.5  100
4 4 0  37.7  26
4 4 2  40.1  7
6 6 0  58.0  41
5 5 5  59.3  10
9 3 3  69.3  20

=====

No. 3
The following is a theoretical powder diffraction line list of VTc4Ge3. It was derived from a cell relaxed with GGA-PBE, using λ = 1.5418 Å (Cu Kα).
Neutral-atom scattering factors, no anomalous dispersion.

Structural model:
a = 4.338 Å, b = 4.338 Å, c = 12.067 Å
α = 90.00°, β = 90.00°, γ = 90.00°
Space group I4/mmm (No. 139)
One atom of each set of equivalent atoms:
V  0.000  0.000  0.000 (multiplicity 2)
Tc  0.000  0.500  0.127 (multiplicity 8)
Ge  0.000  0.000  0.247 (multiplicity 4)
Ge  0.000  0.000  0.500 (multiplicity 2)

The 8 most intense peaks (5 to 70 degrees two-theta), by angle:
h k l  two_theta  I (rel.)
1 1 0  29.1  5
0 0 4  29.6  2
2 0 0  41.6  51
1 1 4  42.0  100
2 0 4  51.9  2
2 2 0  60.4  17
0 0 8  61.5  8
3 1 0  68.4  1